Entry 1:
Starting from a cell relaxed with GGA-PBE, the powder X-ray diffraction pattern of CaDy2PuO8 was computed for Cu Ka.
Peak positions follow from Bragg's law for the DFT cell and can differ from measured ones.

Main lines, by intensity (2θ = 10–80°):
| two_theta | I_rel |
| --- | --- |
| 30.82 | 100 |
| 24.59 | 56 |
| 25.04 | 52 |
| 47.35 | 40 |
| 47.87 | 38 |
| 21.55 | 37 |
| 35.38 | 28 |
| 12.51 | 25 |
| 64.20 | 12 |
| 60.74 | 11 |

```
CaDy2PuO8
1.0
5.070 0.000 0.000
0.000 7.073 0.000
-0.091 0.000 5.079
Ca Dy Pu O
1 2 1 8
direct
0.000 0.000 0.000
0.500 0.244 0.500
0.500 0.756 0.500
0.000 0.500 0.000
0.183 0.291 0.815
0.183 0.709 0.815
0.285 0.500 0.282
0.316 0.000 0.315
0.684 0.000 0.685
0.715 0.500 0.718
0.817 0.291 0.185
0.817 0.709 0.185
```

***

Entry 2:
Starting from a cell relaxed with GGA-PBE, the powder X-ray diffraction pattern of CaDy2ReO8 was computed for Cu Ka.
Peak positions follow from Bragg's law for the DFT cell and can differ from measured ones.

Main lines, by intensity (2θ = 10–80°):
| two_theta | I_rel |
| --- | --- |
| 31.33 | 100 |
| 24.95 | 57 |
| 25.30 | 53 |
| 48.12 | 39 |
| 48.52 | 37 |
| 35.83 | 27 |
| 21.87 | 23 |
| 12.74 | 22 |
| 61.59 | 22 |
| 65.38 | 12 |

```
CaDy2ReO8
1.0
3.521 -3.569 0.000
3.521 3.569 0.000
0.000 0.000 6.946
Ca Dy Re O
1 2 1 8
direct
0.000 0.000 0.000
0.500 0.500 0.252
0.500 0.500 0.748
0.000 0.000 0.500
0.183 0.817 0.303
0.183 0.817 0.697
0.273 0.273 0.500
0.315 0.315 0.000
0.685 0.685 0.000
0.727 0.727 0.500
0.817 0.183 0.303
0.817 0.183 0.697
```

***

Entry 3:
Starting from a cell relaxed with GGA-PBE, the powder X-ray diffraction pattern of Ca2Dy3Sb3O14 was computed for Cu Ka.
Peak positions follow from Bragg's law for the DFT cell and can differ from measured ones.

Main lines, by intensity (2θ = 10–80°):
| two_theta | I_rel |
| --- | --- |
| 29.22 | 100 |
| 29.46 | 95 |
| 33.85 | 50 |
| 48.64 | 45 |
| 57.67 | 29 |
| 14.49 | 29 |
| 48.95 | 25 |
| 34.32 | 21 |
| 57.82 | 15 |
| 49.31 | 14 |

```
Ca2Dy3Sb3O14
1.0
5.291 -5.302 0.000
5.291 5.302 0.000
-0.124 0.000 10.452
Ca Dy Sb O
4 6 6 28
direct
0.000 0.500 0.500
0.231 0.769 0.750
0.500 0.000 0.000
0.769 0.231 0.250
0.242 0.252 0.725
0.252 0.242 0.225
0.269 0.731 0.250
0.731 0.269 0.750
0.748 0.758 0.775
0.758 0.748 0.275
0.000 0.000 0.000
0.000 0.000 0.500
0.000 0.500 0.000
0.500 0.000 0.500
0.500 0.500 0.000
0.500 0.500 0.500
0.000 0.253 0.076
0.000 0.747 0.924
0.039 0.790 0.382
0.041 0.187 0.368
0.045 0.423 0.823
0.187 0.041 0.868
0.210 0.961 0.118
0.250 0.514 0.069
0.253 0.000 0.576
0.287 0.523 0.614
0.317 0.464 0.358
0.423 0.045 0.323
0.464 0.317 0.858
0.477 0.713 0.886
0.486 0.750 0.431
0.514 0.250 0.569
0.523 0.287 0.114
0.536 0.683 0.142
0.577 0.955 0.677
0.683 0.536 0.642
0.713 0.477 0.386
0.747 0.000 0.424
0.750 0.486 0.931
0.790 0.039 0.882
0.813 0.959 0.132
0.955 0.577 0.177
0.959 0.813 0.632
0.961 0.210 0.618
```

***

Entry 4:
Starting from a cell relaxed with GGA-PBE, the powder X-ray diffraction pattern of CaDy2TlO6 was computed for Cu Ka.
Peak positions follow from Bragg's law for the DFT cell and can differ from measured ones.

Main lines, by intensity (2θ = 10–80°):
| two_theta | I_rel |
| --- | --- |
| 29.15 | 100 |
| 30.64 | 98 |
| 53.56 | 42 |
| 42.81 | 41 |
| 47.15 | 37 |
| 18.48 | 30 |
| 54.47 | 29 |
| 21.03 | 26 |
| 35.39 | 16 |
| 71.66 | 15 |

```
CaDy2TlO6
1.0
2.918 1.684 5.135
-2.918 1.684 5.135
0.000 -3.369 5.135
Ca Dy Tl O
1 2 1 6
direct
0.000 0.000 0.000
0.216 0.216 0.216
0.717 0.717 0.717
0.504 0.504 0.504
0.112 0.410 0.816
0.333 0.911 0.595
0.410 0.816 0.112
0.595 0.333 0.911
0.816 0.112 0.410
0.911 0.595 0.333
```

***

Entry 5:
Starting from a cell relaxed with GGA-PBE, the powder X-ray diffraction pattern of CaDy2PaP4 was computed for Cu Ka.
Peak positions follow from Bragg's law for the DFT cell and can differ from measured ones.

Main lines, by intensity (2θ = 10–80°):
| two_theta | I_rel |
| --- | --- |
| 31.51 | 100 |
| 27.20 | 81 |
| 45.17 | 73 |
| 53.53 | 40 |
| 74.78 | 33 |
| 56.11 | 25 |
| 17.46 | 20 |
| 72.58 | 16 |
| 65.79 | 12 |
| 15.61 | 11 |

```
CaDy2PaP4
1.0
5.679 0.000 0.000
0.000 5.679 0.000
0.000 0.000 11.351
Ca Dy Pa P
2 4 2 8
direct
0.000 0.000 0.000
0.500 0.500 0.500
0.000 0.000 0.500
0.000 0.500 0.250
0.500 0.000 0.750
0.500 0.500 0.000
0.000 0.500 0.750
0.500 0.000 0.250
0.000 0.000 0.254
0.000 0.000 0.746
0.000 0.500 0.508
0.000 0.500 0.992
0.500 0.000 0.008
0.500 0.000 0.492
0.500 0.500 0.246
0.500 0.500 0.754
```

***

Entry 6:
Starting from a cell relaxed with GGA-PBE, the powder X-ray diffraction pattern of CaDyP2S8 was computed for Cu Ka.
Peak positions follow from Bragg's law for the DFT cell and can differ from measured ones.

Main lines, by intensity (2θ = 10–80°):
| two_theta | I_rel |
| --- | --- |
| 19.75 | 100 |
| 26.12 | 77 |
| 35.99 | 74 |
| 17.13 | 43 |
| 29.90 | 35 |
| 53.09 | 33 |
| 31.52 | 32 |
| 50.51 | 30 |
| 50.83 | 24 |
| 40.11 | 23 |

```
CaDyP2S8
1.0
5.976 0.000 0.000
-2.988 5.176 0.000
0.000 0.000 9.076
Ca Dy P S
1 1 2 8
direct
0.000 0.000 0.000
0.000 0.000 0.500
0.333 0.667 0.764
0.667 0.333 0.236
0.000 0.338 0.703
0.000 0.662 0.297
0.333 0.667 0.989
0.338 0.000 0.703
0.338 0.338 0.297
0.662 0.000 0.297
0.662 0.662 0.703
0.667 0.333 0.011
```

***

Entry 7:
Starting from a cell relaxed with GGA-PBE, the powder X-ray diffraction pattern of Ca2Dy2Pb2S was computed for Cu Ka.
Peak positions follow from Bragg's law for the DFT cell and can differ from measured ones.

Main lines, by intensity (2θ = 10–80°):
| two_theta | I_rel |
| --- | --- |
| 32.69 | 100 |
| 34.89 | 58 |
| 10.62 | 52 |
| 26.75 | 43 |
| 61.18 | 40 |
| 18.05 | 33 |
| 23.57 | 30 |
| 32.00 | 23 |
| 50.17 | 21 |
| 56.88 | 19 |

```
Ca2Dy2Pb2S
1.0
5.143 0.000 0.000
0.000 5.143 0.000
0.000 0.000 16.667
Ca Dy Pb S
4 4 4 2
direct
0.000 0.000 0.175
0.000 0.000 0.825
0.500 0.500 0.325
0.500 0.500 0.675
0.000 0.500 0.000
0.000 0.500 0.500
0.500 0.000 0.000
0.500 0.000 0.500
0.000 0.000 0.370
0.000 0.000 0.630
0.500 0.500 0.130
0.500 0.500 0.870
0.000 0.000 0.000
0.500 0.500 0.500
```

***

Entry 8:
Starting from a cell relaxed with GGA-PBE, the powder X-ray diffraction pattern of CaDyPd3 was computed for Cu Ka.
Peak positions follow from Bragg's law for the DFT cell and can differ from measured ones.

Main lines, by intensity (2θ = 10–80°):
| two_theta | I_rel |
| --- | --- |
| 33.95 | 100 |
| 36.14 | 99 |
| 37.35 | 98 |
| 20.21 | 60 |
| 43.89 | 60 |
| 41.07 | 59 |
| 32.19 | 40 |
| 38.14 | 39 |
| 36.62 | 33 |
| 40.41 | 30 |

```
CaDyPd3
1.0
9.037 0.000 0.000
0.000 5.856 0.000
-1.565 0.000 8.109
Ca Dy Pd
4 4 12
direct
0.107 0.083 0.221
0.107 0.417 0.721
0.893 0.583 0.279
0.893 0.917 0.779
0.440 0.731 0.620
0.440 0.769 0.120
0.560 0.231 0.880
0.560 0.269 0.380
0.117 0.655 0.031
0.117 0.845 0.531
0.256 0.536 0.342
0.256 0.964 0.842
0.339 0.204 0.577
0.339 0.296 0.077
0.661 0.704 0.923
0.661 0.796 0.423
0.744 0.036 0.158
0.744 0.464 0.658
0.883 0.155 0.469
0.883 0.345 0.969
```

***

Entry 9:
Starting from a cell relaxed with GGA-PBE, the powder X-ray diffraction pattern of Ca2Dy3Pd2 was computed for Cu Ka.
Peak positions follow from Bragg's law for the DFT cell and can differ from measured ones.

Main lines, by intensity (2θ = 10–80°):
| two_theta | I_rel |
| --- | --- |
| 14.47 | 100 |
| 35.50 | 63 |
| 31.34 | 54 |
| 33.21 | 40 |
| 30.25 | 33 |
| 32.95 | 32 |
| 38.83 | 32 |
| 38.26 | 31 |
| 33.72 | 28 |
| 24.25 | 25 |

```
Ca2Dy3Pd2
1.0
12.611 0.000 0.000
0.000 3.887 0.000
-4.303 0.000 8.083
Ca Dy Pd
4 6 4
direct
0.160 0.000 0.306
0.340 0.500 0.694
0.660 0.500 0.306
0.840 0.000 0.694
0.000 0.500 0.500
0.120 0.500 0.939
0.380 0.000 0.061
0.500 0.000 0.500
0.620 0.000 0.939
0.880 0.500 0.061
0.163 0.000 0.741
0.337 0.500 0.259
0.663 0.500 0.741
0.837 0.000 0.259
```

***

Entry 10:
Starting from a cell relaxed with GGA-PBE, the powder X-ray diffraction pattern of Ca2Pm5Dy4 was computed for Cu Ka.
Peak positions follow from Bragg's law for the DFT cell and can differ from measured ones.

Main lines, by intensity (2θ = 10–80°):
| two_theta | I_rel |
| --- | --- |
| 32.02 | 100 |
| 32.40 | 49 |
| 30.12 | 44 |
| 31.07 | 41 |
| 30.70 | 36 |
| 29.67 | 35 |
| 35.38 | 29 |
| 35.50 | 27 |
| 33.65 | 26 |
| 56.16 | 19 |

```
Ca2Pm5Dy4
1.0
8.704 -3.383 0.000
8.704 3.383 0.000
-0.807 0.000 6.604
Ca Pm Dy
2 5 4
direct
0.202 0.202 0.345
0.798 0.798 0.655
0.000 0.000 0.500
0.171 0.652 0.102
0.348 0.829 0.898
0.652 0.171 0.102
0.829 0.348 0.898
0.254 0.254 0.862
0.420 0.420 0.616
0.580 0.580 0.384
0.746 0.746 0.138
```

***

Entry 11:
Starting from a cell relaxed with GGA-PBE, the powder X-ray diffraction pattern of CaPm7Dy3 was computed for Cu Ka.
Peak positions follow from Bragg's law for the DFT cell and can differ from measured ones.

Main lines, by intensity (2θ = 10–80°):
| two_theta | I_rel |
| --- | --- |
| 30.38 | 100 |
| 35.32 | 67 |
| 30.70 | 32 |
| 60.36 | 28 |
| 50.60 | 24 |
| 51.02 | 23 |
| 60.17 | 14 |
| 60.73 | 14 |
| 17.45 | 13 |
| 63.21 | 12 |

```
CaPm7Dy3
1.0
7.216 0.000 0.000
-3.608 6.249 0.000
0.000 0.000 8.736
Ca Pm Dy
1 7 3
direct
0.000 0.000 0.000
0.169 0.338 0.338
0.169 0.831 0.338
0.502 0.004 0.992
0.502 0.498 0.992
0.662 0.831 0.338
0.667 0.333 0.321
0.996 0.498 0.992
0.338 0.169 0.657
0.831 0.169 0.657
0.831 0.662 0.657
```

***

Entry 12:
Starting from a cell relaxed with GGA-PBE, the powder X-ray diffraction pattern of CaPm2Dy2 was computed for Cu Ka.
Peak positions follow from Bragg's law for the DFT cell and can differ from measured ones.

Main lines, by intensity (2θ = 10–80°):
| two_theta | I_rel |
| --- | --- |
| 30.06 | 100 |
| 30.18 | 69 |
| 10.07 | 69 |
| 33.53 | 68 |
| 32.08 | 51 |
| 32.35 | 45 |
| 46.20 | 34 |
| 55.96 | 29 |
| 60.56 | 27 |
| 39.39 | 25 |

```
CaPm2Dy2
1.0
5.581 0.000 0.000
0.000 17.563 0.000
0.000 0.000 3.565
Ca Pm Dy
2 4 4
direct
0.000 0.000 0.000
0.500 0.500 0.000
0.000 0.379 0.500
0.000 0.621 0.500
0.500 0.121 0.500
0.500 0.879 0.500
0.000 0.201 0.000
0.000 0.799 0.000
0.500 0.299 0.000
0.500 0.701 0.000
```